Entry 1:
# Rb2TiSeF6
Computed powder XRD pattern, Cu Ka. Input: a structure optimized by DFT (PBE).
No peak broadening, texture or thermal motion is included.

Principal peaks in the range 2θ = 15–90°, low angle first:
2theta	d/Å	I (rel.)
24.59	3.620	77.3
28.12	3.173	100.0
35.05	2.560	52.1
45.53	1.992	37.9
51.80	1.765	19.1
56.87	1.619	20.0
58.15	1.586	21.5
75.19	1.264	17.8

Cell and atoms:
Cell lengths 6.5235, 6.5235, 6.5235 Å; angles 112.59, 112.59, 103.41 degrees
Positions (direct):
Rb (0.2500, 0.7500, 0.5000)
Rb (0.7500, 0.2500, 0.5000)
Ti (0.0000, 0.0000, 0.0000)
Se (0.5000, 0.5000, 0.0000)
F (0.1837, 0.1837, 0.3674)
F (0.1837, 0.8163, 0.0000)
F (0.2383, 0.2383, 0.0000)
F (0.7617, 0.7617, 0.0000)
F (0.8163, 0.1837, 0.0000)
F (0.8163, 0.8163, 0.6326)



Entry 2:
# BaNaU2O7
Computed powder XRD pattern, Cu Ka. Input: a structure optimized by DFT (PBE).
No peak broadening, texture or thermal motion is included.

Principal peaks in the range 2θ = 15–90°, low angle first:
2theta	d/Å	I (rel.)
20.90	4.251	54.7
24.16	3.684	66.4
29.09	3.070	56.1
29.68	3.010	100.0
41.60	2.171	38.1
51.93	1.761	44.9
53.04	1.727	23.9
61.61	1.505	28.3

Cell and atoms:
Cell lengths 10.8818, 10.8818, 10.8818 Å; angles 156.98, 156.98, 32.78 degrees
Positions (direct):
Ba (0.0000, 0.0000, 0.0000)
Na (0.7500, 0.2500, 0.5000)
U (0.3942, 0.3942, 0.0000)
U (0.6058, 0.6058, 0.0000)
O (0.0910, 0.5910, 0.5000)
O (0.3026, 0.3026, 0.0000)
O (0.4091, 0.9090, 0.5000)
O (0.5000, 0.5000, 0.0000)
O (0.5946, 0.0946, 0.5000)
O (0.6974, 0.6974, 0.0000)
O (0.9054, 0.4054, 0.5000)



Entry 3:
# CoAgSb6
Computed powder XRD pattern, Cu Ka. Input: a structure optimized by DFT (PBE).
No peak broadening, texture or thermal motion is included.

Principal peaks in the range 2θ = 15–90°, low angle first:
2theta	d/Å	I (rel.)
29.36	3.042	24.5
29.57	3.021	75.5
29.90	2.988	60.5
30.14	2.965	100.0
35.08	2.558	37.0
35.81	2.508	24.3
43.05	2.101	31.0
49.30	1.848	29.1

Cell and atoms:
Cell lengths 8.1355, 8.1355, 9.5332 Å; angles 124.62, 124.62, 70.23 degrees
Positions (direct):
Co (0.0000, 0.5000, 0.0000)
Co (0.5000, 0.0000, 0.0000)
Ag (0.0000, 0.5000, 0.5000)
Ag (0.5000, 0.0000, 0.5000)
Sb (0.1410, 0.8260, 0.1387)
Sb (0.1740, 0.8590, 0.8613)
Sb (0.1881, 0.5038, 0.3274)
Sb (0.3250, 0.3250, 0.9826)
Sb (0.3650, 0.3650, 0.7143)
Sb (0.4962, 0.8119, 0.6726)
Sb (0.5038, 0.1881, 0.3274)
Sb (0.6350, 0.6350, 0.2857)
Sb (0.6750, 0.6750, 0.0174)
Sb (0.8119, 0.4962, 0.6726)
Sb (0.8260, 0.1410, 0.1387)
Sb (0.8590, 0.1740, 0.8613)



Entry 4:
# B3C5
Computed powder XRD pattern, Cu Ka. Input: a structure optimized by DFT (PBE).
No peak broadening, texture or thermal motion is included.

Principal peaks in the range 2θ = 15–90°, low angle first:
2theta	d/Å	I (rel.)
30.61	2.920	4.2
41.22	2.190	28.8
42.26	2.139	100.0
70.90	1.329	25.4
72.36	1.306	25.7
85.45	1.136	9.5
86.83	1.122	13.3
87.52	1.115	8.4

Cell and atoms:
Cell lengths 8.8898, 8.8898, 8.8898 Å; angles 16.90, 16.90, 16.90 degrees
Positions (direct):
B (0.0000, 0.0000, 0.0000)
B (0.1897, 0.1897, 0.1897)
B (0.4398, 0.4398, 0.4398)
C (0.2542, 0.2542, 0.2542)
C (0.4999, 0.4999, 0.4999)
C (0.6915, 0.6915, 0.6915)
C (0.7458, 0.7458, 0.7458)
C (0.9369, 0.9369, 0.9369)



Q: What is the formula in the second record?
A: BaNaU2O7